1.
Diffraction record for Th6CoBr15. The powder diffractogram is theoretical, not measured: it uses a crystal structure in OQMD, relaxed with GGA-PBE and a wavelength of 1.5418 Å.
Peak positions follow from Bragg's law for the DFT cell and can differ from measured ones.

Principal peaks in the range 2θ from 5° to 70°, by angle:
(1 1 0), 2θ = 10.7°, rel. 78
(2 1 1), 2θ = 18.6°, rel. 29
(3 2 1), 2θ = 28.6°, rel. 39
(4 0 0), 2θ = 30.6°, rel. 100
(3 3 2), 2θ = 36.0°, rel. 17
(5 1 0), 2θ = 39.3°, rel. 19
(4 4 0), 2θ = 43.8°, rel. 73
(4 4 4), 2θ = 54.4°, rel. 25

Crystal structure
```
data_Th6CoBr15
_chemical_formula_sum 'Th12 Co2 Br30'
_space_group_name_H-M_alt 'I m -3 m'
_space_group_IT_number 229
_space_group_name_Hall '-I 4 2 3'
_cell_length_a 11.694
_cell_length_b 11.694
_cell_length_c 11.694
_cell_angle_alpha 90.00
_cell_angle_beta 90.00
_cell_angle_gamma 90.00
loop_
_atom_site_label
_atom_site_fract_x
_atom_site_fract_y
_atom_site_fract_z
Th1 0.000 0.000 0.238
Co1 0.000 0.000 0.000
Br1 0.000 0.000 0.500
Br2 0.000 0.251 0.251
```

2.
Diffraction record for Pm2Ag3Hg. The powder diffractogram is theoretical, not measured: it uses a crystal structure in OQMD, relaxed with GGA-PBE and a wavelength of 1.5418 Å.
Peak positions follow from Bragg's law for the DFT cell and can differ from measured ones.

Principal peaks in the range 2θ from 5° to 70°, by angle:
(2 0 4), 2θ = 33.7°, rel. 100
(0 4 0), 2θ = 36.8°, rel. 86
(2 4 0), 2θ = 45.7°, rel. 8
(2 4 4), 2θ = 50.8°, rel. 31
(4 0 0), 2θ = 53.6°, rel. 10
(2 2 10), 2θ = 64.4°, rel. 30
(0 6 6), 2θ = 66.3°, rel. 15
(4 4 0), 2θ = 66.8°, rel. 29

Crystal structure
```
data_Pm2Ag3Hg
_chemical_formula_sum 'Pm16 Ag24 Hg8'
_space_group_name_H-M_alt 'F m m m'
_space_group_IT_number 69
_space_group_name_Hall '-F 2 2'
_cell_length_a 6.842
_cell_length_b 9.756
_cell_length_c 16.917
_cell_angle_alpha 90.00
_cell_angle_beta 90.00
_cell_angle_gamma 90.00
loop_
_atom_site_label
_atom_site_fract_x
_atom_site_fract_y
_atom_site_fract_z
Pm1 0.248 0.000 0.000
Pm2 0.250 0.250 0.250
Ag1 0.000 0.000 0.165
Ag2 0.000 0.248 0.082
Hg1 0.000 0.000 0.334
```

3.
Diffraction record for Pr3AlGaCo4. The powder diffractogram is theoretical, not measured: it uses a crystal structure in OQMD, relaxed with GGA-PBE and a wavelength of 1.5418 Å.
Peak positions follow from Bragg's law for the DFT cell and can differ from measured ones.

Principal peaks in the range 2θ from 5° to 70°, by angle:
(1 1 1), 2θ = 26.4°, rel. 83
(1 1 -2), 2θ = 31.0°, rel. 51
(0 0 3), 2θ = 32.6°, rel. 27
(2 0 -3), 2θ = 34.5°, rel. 100
(4 0 -1), 2θ = 35.4°, rel. 36
(3 1 -2), 2θ = 38.5°, rel. 57
(1 1 3), 2θ = 41.7°, rel. 47
(0 2 0), 2θ = 44.2°, rel. 47

Crystal structure
```
data_Pr3AlGaCo4
_chemical_formula_sum 'Pr6 Al2 Ga2 Co8'
_space_group_name_H-M_alt 'C 1 m 1'
_space_group_IT_number 8
_cell_length_a 10.250
_cell_length_b 4.100
_cell_length_c 8.353
_cell_angle_alpha 90.00
_cell_angle_beta 99.35
_cell_angle_gamma 90.00
loop_
_space_group_symop_operation_xyz
'x,y,z'
'x,-y,z'
'x+1/2,y+1/2,z'
'x+1/2,-y+1/2,z'
loop_
_atom_site_label
_atom_site_fract_x
_atom_site_fract_y
_atom_site_fract_z
Pr1 0.000 0.000 0.000
Pr2 0.124 0.500 0.376
Pr3 0.250 0.000 0.756
Al1 0.447 0.500 0.593
Ga1 0.300 0.000 0.158
Co1 0.038 0.500 0.739
Co2 0.209 0.500 0.014
Co3 0.365 0.000 0.459
Co4 0.383 0.500 0.295
```

4.
Diffraction record for ScTl2AgF6. The powder diffractogram is theoretical, not measured: it uses a crystal structure in OQMD, relaxed with GGA-PBE and a wavelength of 1.5418 Å.
Peak positions follow from Bragg's law for the DFT cell and can differ from measured ones.

Principal peaks in the range 2θ from 5° to 70°, by angle:
(1 1 0), 2θ = 20.9°, rel. 18
(1 1 2), 2θ = 29.2°, rel. 100
(2 0 0), 2θ = 29.7°, rel. 54
(2 0 2), 2θ = 36.2°, rel. 25
(2 2 0), 2θ = 42.5°, rel. 28
(2 0 4), 2θ = 51.6°, rel. 23
(3 1 2), 2θ = 52.4°, rel. 45
(2 2 4), 2θ = 60.6°, rel. 19

Crystal structure
```
data_ScTl2AgF6
_chemical_formula_sum 'Sc2 Tl4 Ag2 F12'
_space_group_name_H-M_alt 'I 4/m'
_space_group_IT_number 87
_space_group_name_Hall '-I 4'
_cell_length_a 6.018
_cell_length_b 6.018
_cell_length_c 8.771
_cell_angle_alpha 90.00
_cell_angle_beta 90.00
_cell_angle_gamma 90.00
loop_
_atom_site_label
_atom_site_fract_x
_atom_site_fract_y
_atom_site_fract_z
Sc1 0.000 0.000 0.000
Tl1 0.000 0.500 0.250
Ag1 0.000 0.000 0.500
F1 0.000 0.000 0.229
F2 0.171 0.714 0.000
```

5.
Diffraction record for KZr2. The powder diffractogram is theoretical, not measured: it uses a crystal structure in OQMD, relaxed with GGA-PBE and a wavelength of 1.5418 Å.
Peak positions follow from Bragg's law for the DFT cell and can differ from measured ones.

Principal peaks in the range 2θ from 5° to 70°, by angle:
(0 0 1), 2θ = 6.9°, rel. 100
(0 0 2), 2θ = 13.7°, rel. 7
(0 0 4), 2θ = 27.7°, rel. 4
(1 1 2), 2θ = 32.8°, rel. 25
(1 1 3), 2θ = 36.4°, rel. 14
(1 1 4), 2θ = 41.0°, rel. 5
(2 0 0), 2θ = 42.1°, rel. 5
(0 2 0), 2θ = 42.7°, rel. 6

Crystal structure
```
data_KZr2
_chemical_formula_sum 'K2 Zr4'
_space_group_name_H-M_alt 'P m m a'
_space_group_IT_number 51
_cell_length_a 4.285
_cell_length_b 4.234
_cell_length_c 12.885
_cell_angle_alpha 90.00
_cell_angle_beta 90.00
_cell_angle_gamma 90.00
loop_
_space_group_symop_operation_xyz
'x,y,z'
'-x,-y,-z'
'-x+1/2,-y,z'
'x+1/2,y,-z'
'x+1/2,-y,-z'
'-x+1/2,y,z'
'-x,y,-z'
'x,-y,z'
loop_
_atom_site_label
_atom_site_fract_x
_atom_site_fract_y
_atom_site_fract_z
K1 0.250 0.000 0.152
Zr1 0.250 0.000 0.586
Zr2 0.250 0.500 0.414
```

6.
Diffraction record for Pr2Sc2CBr2Cl3. The powder diffractogram is theoretical, not measured: it uses a crystal structure in OQMD, relaxed with GGA-PBE and a wavelength of 1.5418 Å.
Peak positions follow from Bragg's law for the DFT cell and can differ from measured ones.

Principal peaks in the range 2θ from 5° to 70°, by angle:
(0 0 1), 2θ = 11.8°, rel. 96
(4 0 0), 2θ = 20.8°, rel. 31
(1 1 -1), 2θ = 26.9°, rel. 43
(6 0 0), 2θ = 31.4°, rel. 50
(3 1 1), 2θ = 32.7°, rel. 30
(1 1 -2), 2θ = 33.6°, rel. 100
(5 1 -1), 2θ = 35.7°, rel. 26
(5 1 2), 2θ = 47.0°, rel. 43

Crystal structure
```
data_Pr2Sc2CBr2Cl3
_chemical_formula_sum 'Pr4 Sc4 C2 Br4 Cl6'
_space_group_name_H-M_alt 'C 1 2/m 1'
_space_group_IT_number 12
_cell_length_a 17.629
_cell_length_b 3.688
_cell_length_c 7.738
_cell_angle_alpha 90.00
_cell_angle_beta 103.97
_cell_angle_gamma 90.00
loop_
_space_group_symop_operation_xyz
'x,y,z'
'-x,-y,-z'
'-x,y,-z'
'x,-y,z'
'x+1/2,y+1/2,z'
'-x+1/2,-y+1/2,-z'
'-x+1/2,y+1/2,-z'
'x+1/2,-y+1/2,z'
loop_
_atom_site_label
_atom_site_fract_x
_atom_site_fract_y
_atom_site_fract_z
Pr1 0.146 0.000 0.086
Sc1 0.000 0.500 0.198
C1 0.000 0.000 0.000
Br1 0.162 0.500 0.796
Cl1 0.000 0.000 0.500
Cl2 0.148 0.500 0.359
```

7.
Diffraction record for YErSnC. The powder diffractogram is theoretical, not measured: it uses a crystal structure in OQMD, relaxed with GGA-PBE and a wavelength of 1.5418 Å.
Peak positions follow from Bragg's law for the DFT cell and can differ from measured ones.

Principal peaks in the range 2θ from 5° to 70°, by angle:
(0 0 1), 2θ = 5.6°, rel. 34
(1 0 0), 2θ = 28.6°, rel. 22
(0 1 3), 2θ = 33.3°, rel. 100
(0 0 6), 2θ = 34.1°, rel. 20
(1 1 0), 2θ = 50.6°, rel. 22
(0 1 9), 2θ = 60.5°, rel. 18
(2 0 3), 2θ = 62.0°, rel. 17
(1 1 6), 2θ = 62.4°, rel. 21

Crystal structure
```
data_YErSnC
_chemical_formula_sum 'Y2 Er2 Sn2 C2'
_space_group_name_H-M_alt 'P -3 m 1'
_space_group_IT_number 164
_space_group_name_Hall '-P 3 2"'
_cell_length_a 3.6085
_cell_length_b 3.6085
_cell_length_c 15.7829
_cell_angle_alpha 90.00
_cell_angle_beta 90.00
_cell_angle_gamma 120.00
loop_
_atom_site_label
_atom_site_fract_x
_atom_site_fract_y
_atom_site_fract_z
Y1 0.3333 0.6667 0.4146
Er1 0.3333 0.6667 0.0834
Sn1 0.3333 0.6667 0.7519
C1 0.0000 0.0000 0.0000
C2 0.0000 0.0000 0.5000
```

8.
Diffraction record for HoErFe2. The powder diffractogram is theoretical, not measured: it uses a crystal structure in OQMD, relaxed with GGA-PBE and a wavelength of 1.5418 Å.
Peak positions follow from Bragg's law for the DFT cell and can differ from measured ones.

Principal peaks in the range 2θ from 5° to 70°, by angle:
(1 1 1), 2θ = 31.0°, rel. 100
(1 0 2), 2θ = 33.1°, rel. 89
(0 2 1), 2θ = 35.0°, rel. 67
(1 1 2), 2θ = 37.1°, rel. 38
(0 1 3), 2θ = 38.7°, rel. 71
(1 2 1), 2θ = 42.6°, rel. 48
(2 0 0), 2θ = 48.0°, rel. 31
(2 1 3), 2θ = 63.2°, rel. 32

Crystal structure
```
data_HoErFe2
_chemical_formula_sum 'Ho2 Er2 Fe4'
_space_group_name_H-M_alt 'P m c 21'
_space_group_IT_number 26
_cell_length_a 3.793
_cell_length_b 5.431
_cell_length_c 7.732
_cell_angle_alpha 90.00
_cell_angle_beta 90.00
_cell_angle_gamma 90.00
loop_
_space_group_symop_operation_xyz
'x,y,z'
'-x,-y,z+1/2'
'-x,y,z'
'x,-y,z+1/2'
loop_
_atom_site_label
_atom_site_fract_x
_atom_site_fract_y
_atom_site_fract_z
Ho1 0.000 0.148 0.000
Er1 0.500 0.352 0.355
Fe1 0.000 0.328 0.651
Fe2 0.500 0.175 0.703
```

9.
Diffraction record for Ho4C7. The powder diffractogram is theoretical, not measured: it uses a crystal structure in OQMD, relaxed with GGA-PBE and a wavelength of 1.5418 Å.
Peak positions follow from Bragg's law for the DFT cell and can differ from measured ones.

Principal peaks in the range 2θ from 5° to 70°, by angle:
(1 1 1), 2θ = 27.3°, rel. 25
(0 4 0), 2θ = 28.6°, rel. 22
(0 4 1), 2θ = 29.4°, rel. 19
(0 2 4), 2θ = 30.0°, rel. 100
(1 1 2), 2θ = 30.5°, rel. 26
(1 3 -2), 2θ = 33.9°, rel. 23
(1 3 1), 2θ = 34.2°, rel. 35
(2 2 -6), 2θ = 62.3°, rel. 19

Crystal structure
```
data_Ho4C7
_chemical_formula_sum 'Ho16 C28'
_space_group_name_H-M_alt 'P 1 21/c 1'
_space_group_IT_number 14
_cell_length_a 3.676
_cell_length_b 12.488
_cell_length_c 13.734
_cell_angle_alpha 90.00
_cell_angle_beta 98.79
_cell_angle_gamma 90.00
loop_
_space_group_symop_operation_xyz
'x,y,z'
'-x,-y,-z'
'-x,y+1/2,-z+1/2'
'x,-y+1/2,z+1/2'
loop_
_atom_site_label
_atom_site_fract_x
_atom_site_fract_y
_atom_site_fract_z
Ho1 0.121 0.039 0.382
Ho2 0.133 0.195 0.789
Ho3 0.262 0.737 0.494
Ho4 0.302 0.015 0.107
C1 0.166 0.641 0.326
C2 0.209 0.117 0.949
C3 0.245 0.110 0.547
C4 0.304 0.651 0.244
C5 0.377 0.671 0.152
C6 0.409 0.583 0.771
C7 0.415 0.105 0.639
```